# 1
For FeP3F, a cell relaxed with PBE+U gives the simulated XRD peak list in this record (Cu Kα (weighted mean of Kα1 and Kα2)).
Intensities are scaled so that the largest is 100.

Principal peaks in the range 2θ = 10–90°, by angle:
| d (Å) | I/Imax | (hkl) |
| --- | --- | --- |
| 4.400 | 100 | 1 0 0 |
| 3.111 | 38 | 1 1 0 |
| 2.540 | 17 | 1 1 1 |
| 2.200 | 85 | 2 0 0 |
| 1.968 | 41 | 2 1 0 |
| 1.796 | 14 | 2 1 1 |
| 1.556 | 51 | 2 2 0 |
| 1.467 | 19 | 3 0 0 |
| 1.270 | 17 | 2 2 2 |
| 1.220 | 9 | 3 2 0 |

Atomic structure:
```
data_FeP3F
_space_group_name_H-M_alt 'P m -3 m'
_space_group_IT_number 221
_space_group_name_Hall '-P 4 2 3'
_cell_length_a 4.400
_cell_length_b 4.400
_cell_length_c 4.400
_cell_angle_alpha 90.00
_cell_angle_beta 90.00
_cell_angle_gamma 90.00
loop_
_atom_site_label
_atom_site_fract_x
_atom_site_fract_y
_atom_site_fract_z
_atom_site_occupancy
Fe1 0.000 0.000 0.000 1
P1 0.000 0.000 0.500 1
F1 0.500 0.500 0.500 1
```


# 2
For Fe3Pb5F19, a cell relaxed with PBE+U gives the simulated XRD peak list in this record (Cu Kα (weighted mean of Kα1 and Kα2)).
Intensities are scaled so that the largest is 100.

Principal peaks in the range 2θ = 10–90°, by angle:
| d (Å) | I/Imax | (hkl) |
| --- | --- | --- |
| 5.055 | 30 | 2 1 1 |
| 3.991 | 80 | 0 0 2 |
| 3.613 | 81 | 3 2 1 |
| 3.266 | 67 | 4 2 0 |
| 3.238 | 100 | 4 1 1 |
| 2.528 | 27 | 4 2 2 |
| 2.128 | 41 | 4 1 3 |
| 2.101 | 31 | 6 3 1 |
| 1.998 | 24 | 0 0 4 |
| 1.834 | 40 | 7 1 2 |

Atomic structure:
```
data_Fe3Pb5F19
_space_group_name_H-M_alt 'I 4 c m'
_space_group_IT_number 108
_space_group_name_Hall 'I 4 -2c'
_cell_length_a 14.606
_cell_length_b 14.606
_cell_length_c 7.982
_cell_angle_alpha 90.00
_cell_angle_beta 90.00
_cell_angle_gamma 90.00
loop_
_atom_site_label
_atom_site_fract_x
_atom_site_fract_y
_atom_site_fract_z
_atom_site_occupancy
Fe1 0.000 0.000 0.000 1
Fe2 0.159 0.341 0.287 1
Pb1 0.000 0.500 0.437 1
Pb2 0.075 0.225 0.851 1
F1 0.000 0.000 0.245 1
F2 0.054 0.121 0.487 1
F3 0.059 0.312 0.445 1
F4 0.072 0.428 0.187 1
F5 0.108 0.245 0.139 1
F6 0.119 0.381 0.834 1
F7 0.246 0.254 0.373 1
```


# 3
For Fe2PbF7, a cell relaxed with PBE+U gives the simulated XRD peak list in this record (Cu Kα (weighted mean of Kα1 and Kα2)).
Intensities are scaled so that the largest is 100.

Principal peaks in the range 2θ = 10–90°, by angle:
| d (Å) | I/Imax | (hkl) |
| --- | --- | --- |
| 5.632 | 76 | 1 1 0 |
| 3.366 | 55 | 2 0 0 |
| 3.212 | 100 | 1 1 1 |
| 3.112 | 51 | 0 2 1 |
| 3.053 | 65 | 1 3 0 |
| 2.285 | 38 | 2 2 1 |
| 1.912 | 38 | 3 1 1 |
| 1.877 | 27 | 3 3 0 |
| 1.756 | 32 | 1 5 1 |
| 1.413 | 26 | 2 4 2 |

Atomic structure:
```
data_Fe2PbF7
_space_group_name_H-M_alt 'C m m m'
_space_group_IT_number 65
_space_group_name_Hall '-C 2 2'
_cell_length_a 6.732
_cell_length_b 10.278
_cell_length_c 3.910
_cell_angle_alpha 90.00
_cell_angle_beta 90.00
_cell_angle_gamma 90.00
loop_
_atom_site_label
_atom_site_fract_x
_atom_site_fract_y
_atom_site_fract_z
_atom_site_occupancy
Fe1 0.000 0.192 0.000 1
Pb1 0.000 0.500 0.500 1
F1 0.000 0.000 0.000 1
F2 0.000 0.214 0.500 1
F3 0.184 0.363 0.000 1
```


# 4
For SrFePbF6, a cell relaxed with PBE+U gives the simulated XRD peak list in this record (Cu Kα (weighted mean of Kα1 and Kα2)).
Intensities are scaled so that the largest is 100.

Principal peaks in the range 2θ = 10–90°, by angle:
| d (Å) | I/Imax | (hkl) |
| --- | --- | --- |
| 5.204 | 21 | 1 0 0 |
| 3.606 | 100 | 1 0 2 |
| 3.005 | 35 | 1 1 0 |
| 2.308 | 30 | 2 0 2 |
| 1.922 | 36 | 1 1 4 |
| 1.831 | 30 | 2 1 2 |
| 1.735 | 16 | 3 0 0 |
| 1.587 | 9 | 1 0 6 |
| 1.387 | 12 | 4 -1 2 |
| 1.272 | 9 | 3 -1 6 |

Atomic structure:
```
data_SrFePbF6
_space_group_name_H-M_alt 'P -3 1 c'
_space_group_IT_number 163
_space_group_name_Hall '-P 3 2c'
_cell_length_a 6.0096
_cell_length_b 6.0096
_cell_length_c 10.0009
_cell_angle_alpha 90.00
_cell_angle_beta 90.00
_cell_angle_gamma 120.00
loop_
_atom_site_label
_atom_site_fract_x
_atom_site_fract_y
_atom_site_fract_z
_atom_site_occupancy
Sr1 0.3333 0.6667 0.2500 1
Fe1 0.3333 0.6667 0.7500 1
Pb1 0.0000 0.0000 0.0000 1
F1 0.0409 0.3684 0.6357 1
```


Number 4 is which compound? SrFePbF6